Starting from a crystal structure in Alexandria, relaxed with PBE, the X-ray powder pattern of ZnFeI6 was simulated for a wavelength of 1.5418 Å.
No peak broadening, texture or thermal motion is included.

Most intense lines, 2θ from 15° to 90°, by intensity:
2θ = 31.32°, rel. 100; 2θ = 25.28°, rel. 85; 2θ = 43.28°, rel. 78; 2θ = 27.52°, rel. 74; 2θ = 29.10°, rel. 67; 2θ = 15.99°, rel. 27; 2θ = 51.90°, rel. 18; 2θ = 41.99°, rel. 17; 2θ = 69.56°, rel. 17; 2θ = 56.81°, rel. 17; 2θ = 39.40°, rel. 16; 2θ = 50.93°, rel. 16

Atomic structure:
Cell lengths 7.3976, 7.3976, 7.2283 Å; angles 102.47, 102.47, 121.53 degrees
Fractional coordinates of all 8 atoms:
1 Zn 0.0000 0.0000 0.0000
2 Fe 0.5000 0.5000 0.5000
3 I 0.1265 0.4168 0.2533
4 I 0.2294 0.2294 0.7195
5 I 0.4168 0.1265 0.2533
6 I 0.5832 0.8735 0.7467
7 I 0.7706 0.7706 0.2805
8 I 0.8735 0.5832 0.7467



Starting from a crystal structure in Alexandria, relaxed with PBE, the X-ray powder pattern of Ni2Ag2Cl7 was simulated for a wavelength of 1.5418 Å.
No peak broadening, texture or thermal motion is included.

Most intense lines, 2θ from 15° to 90°, by intensity:
2θ = 22.44°, rel. 100; 2θ = 19.94°, rel. 43; 2θ = 43.77°, rel. 22; 2θ = 22.74°, rel. 16; 2θ = 41.69°, rel. 16; 2θ = 26.89°, rel. 15; 2θ = 51.25°, rel. 15; 2θ = 32.72°, rel. 14; 2θ = 24.78°, rel. 13; 2θ = 29.15°, rel. 12; 2θ = 28.95°, rel. 10; 2θ = 34.10°, rel. 10

Atomic structure:
Cell lengths 7.2211, 7.2211, 12.6404 Å; angles 104.17, 104.17, 95.50 degrees
Fractional coordinates of all 22 atoms:
1 Ni 0.1906 0.2067 0.2025
2 Ni 0.2067 0.1906 0.7025
3 Ni 0.7933 0.8094 0.2975
4 Ni 0.8094 0.7933 0.7975
5 Ag 0.2747 0.6371 0.5347
6 Ag 0.3629 0.7253 0.9653
7 Ag 0.6371 0.2747 0.0347
8 Ag 0.7253 0.3629 0.4653
9 Cl 0.0074 0.3448 0.0917
10 Cl 0.0198 0.9802 0.2500
11 Cl 0.0784 0.3973 0.6135
12 Cl 0.3448 0.0074 0.5917
13 Cl 0.3786 0.4229 0.3561
14 Cl 0.3973 0.0784 0.1135
15 Cl 0.4229 0.3786 0.8561
16 Cl 0.5771 0.6214 0.1439
17 Cl 0.6027 0.9216 0.8865
18 Cl 0.6214 0.5771 0.6439
19 Cl 0.6552 0.9926 0.4083
20 Cl 0.9216 0.6027 0.3865
21 Cl 0.9802 0.0198 0.7500
22 Cl 0.9926 0.6552 0.9083



Starting from a crystal structure in Alexandria, relaxed with PBE, the X-ray powder pattern of La5PmTl2 was simulated for a wavelength of 1.5418 Å.
No peak broadening, texture or thermal motion is included.

Most intense lines, 2θ from 15° to 90°, by intensity:
2θ = 31.44°, rel. 100; 2θ = 31.76°, rel. 62; 2θ = 56.17°, rel. 25; 2θ = 45.29°, rel. 23; 2θ = 41.20°, rel. 22; 2θ = 55.97°, rel. 20; 2θ = 35.52°, rel. 13; 2θ = 63.25°, rel. 12; 2θ = 25.94°, rel. 12; 2θ = 65.62°, rel. 12; 2θ = 18.00°, rel. 11; 2θ = 74.75°, rel. 11

Atomic structure:
Cell lengths 5.6911, 5.6911, 20.6069 Å; angles 90.00, 90.00, 120.00 degrees
Fractional coordinates of all 16 atoms:
1 La 0.0000 0.0000 0.1603
2 La 0.0000 0.0000 0.3397
3 La 0.0000 0.0000 0.6603
4 La 0.0000 0.0000 0.8397
5 La 0.3333 0.6667 0.0643
6 La 0.3333 0.6667 0.2500
7 La 0.3333 0.6667 0.4357
8 La 0.6667 0.3333 0.5643
9 La 0.6667 0.3333 0.7500
10 La 0.6667 0.3333 0.9357
11 Pm 0.3333 0.6667 0.7500
12 Pm 0.6667 0.3333 0.2500
13 Tl 0.3333 0.6667 0.5946
14 Tl 0.3333 0.6667 0.9054
15 Tl 0.6667 0.3333 0.0946
16 Tl 0.6667 0.3333 0.4054



Starting from a crystal structure in Alexandria, relaxed with PBE, the X-ray powder pattern of TiSbPd6 was simulated for a wavelength of 1.5418 Å.
No peak broadening, texture or thermal motion is included.

Most intense lines, 2θ from 15° to 90°, by intensity:
2θ = 39.08°, rel. 100; 2θ = 45.11°, rel. 33; 2θ = 79.18°, rel. 24; 2θ = 66.48°, rel. 20; 2θ = 46.10°, rel. 16; 2θ = 80.62°, rel. 12; 2θ = 83.98°, rel. 10; 2θ = 65.70°, rel. 10; 2θ = 27.56°, rel. 4; 2θ = 35.30°, rel. 2; 2θ = 63.56°, rel. 2; 2θ = 15.59°, rel. 2

Atomic structure:
Cell lengths 5.6849, 5.6849, 3.9376 Å; angles 90.00, 90.00, 90.00 degrees
Fractional coordinates of all 8 atoms:
1 Ti 0.0000 0.0000 0.0000
2 Sb 0.5000 0.5000 0.0000
3 Pd 0.0000 0.5000 0.0000
4 Pd 0.2408 0.2408 0.5000
5 Pd 0.2408 0.7592 0.5000
6 Pd 0.5000 0.0000 0.0000
7 Pd 0.7592 0.2408 0.5000
8 Pd 0.7592 0.7592 0.5000



Starting from a crystal structure in Alexandria, relaxed with PBE, the X-ray powder pattern of Ta2In2NiS6 was simulated for a wavelength of 1.5418 Å.
No peak broadening, texture or thermal motion is included.

Most intense lines, 2θ from 15° to 90°, by intensity:
2θ = 33.31°, rel. 100; 2θ = 34.08°, rel. 58; 2θ = 23.30°, rel. 51; 2θ = 18.85°, rel. 41; 2θ = 43.71°, rel. 39; 2θ = 30.59°, rel. 36; 2θ = 52.77°, rel. 28; 2θ = 22.89°, rel. 23; 2θ = 30.73°, rel. 21; 2θ = 43.30°, rel. 21; 2θ = 49.65°, rel. 18; 2θ = 52.04°, rel. 15

Atomic structure:
Cell lengths 6.0615, 6.0615, 7.8546 Å; angles 96.65, 96.65, 120.83 degrees
Fractional coordinates of all 11 atoms:
1 Ta 0.1469 0.8531 0.0000
2 Ta 0.8531 0.1469 0.0000
3 In 0.3199 0.6801 0.5000
4 In 0.6801 0.3199 0.5000
5 Ni 0.5000 0.5000 0.0000
6 S 0.1156 0.4528 0.8212
7 S 0.2396 0.2396 0.2034
8 S 0.4528 0.1156 0.8212
9 S 0.5472 0.8844 0.1788
10 S 0.7604 0.7604 0.7966
11 S 0.8844 0.5472 0.1788



Starting from a crystal structure in Alexandria, relaxed with PBE, the X-ray powder pattern of Cs3CuTeS9 was simulated for a wavelength of 1.5418 Å.
No peak broadening, texture or thermal motion is included.

Most intense lines, 2θ from 15° to 90°, by intensity:
2θ = 27.22°, rel. 100; 2θ = 30.15°, rel. 46; 2θ = 25.63°, rel. 41; 2θ = 31.53°, rel. 36; 2θ = 19.75°, rel. 35; 2θ = 29.73°, rel. 35; 2θ = 28.80°, rel. 27; 2θ = 21.04°, rel. 24; 2θ = 20.40°, rel. 22; 2θ = 43.71°, rel. 21; 2θ = 34.82°, rel. 21; 2θ = 25.09°, rel. 20

Atomic structure:
Cell lengths 13.2259, 13.2259, 12.2610 Å; angles 90.00, 90.00, 61.69 degrees
Fractional coordinates of all 56 atoms:
1 Cs 0.0360 0.9640 0.8346
2 Cs 0.0575 0.6506 0.3239
3 Cs 0.1506 0.5575 0.8239
4 Cs 0.3494 0.9425 0.3239
5 Cs 0.4425 0.8494 0.8239
6 Cs 0.4640 0.5360 0.3346
7 Cs 0.5360 0.4640 0.6654
8 Cs 0.5575 0.1506 0.1761
9 Cs 0.6506 0.0575 0.6761
10 Cs 0.8494 0.4425 0.1761
11 Cs 0.9425 0.3494 0.6761
12 Cs 0.9640 0.0360 0.1654
13 Cu 0.0639 0.0639 0.5000
14 Cu 0.4361 0.4361 0.0000
15 Cu 0.5639 0.5639 0.0000
16 Cu 0.9361 0.9361 0.5000
17 Te 0.2318 0.7682 0.5745
18 Te 0.2682 0.7318 0.0745
19 Te 0.7318 0.2682 0.9255
20 Te 0.7682 0.2318 0.4255
21 S 0.0592 0.1761 0.3548
22 S 0.0671 0.3225 0.3999
23 S 0.0823 0.7559 0.0444
24 S 0.1192 0.8808 0.4176
25 S 0.1761 0.0592 0.6452
26 S 0.1775 0.4329 0.1001
27 S 0.2156 0.2626 0.0817
28 S 0.2374 0.2844 0.4183
29 S 0.2441 0.9177 0.0444
30 S 0.2559 0.5823 0.5444
31 S 0.2626 0.2156 0.9183
32 S 0.2844 0.2374 0.5817
33 S 0.3225 0.0671 0.6001
34 S 0.3239 0.4408 0.1452
35 S 0.3808 0.6192 0.9176
36 S 0.4177 0.7441 0.5444
37 S 0.4329 0.1775 0.8999
38 S 0.4408 0.3239 0.8548
39 S 0.5592 0.6761 0.1452
40 S 0.5671 0.8225 0.1001
41 S 0.5823 0.2559 0.4556
42 S 0.6192 0.3808 0.0824
43 S 0.6761 0.5592 0.8548
44 S 0.6775 0.9329 0.3999
45 S 0.7156 0.7626 0.4183
46 S 0.7374 0.7844 0.0817
47 S 0.7441 0.4177 0.4556
48 S 0.7559 0.0823 0.9556
49 S 0.7626 0.7156 0.5817
50 S 0.7844 0.7374 0.9183
51 S 0.8225 0.5671 0.8999
52 S 0.8239 0.9408 0.3548
53 S 0.8808 0.1192 0.5824
54 S 0.9177 0.2441 0.9556
55 S 0.9329 0.6775 0.6001
56 S 0.9408 0.8239 0.6452



Starting from a crystal structure in Alexandria, relaxed with PBE, the X-ray powder pattern of Cd5Hg5Bi2 was simulated for a wavelength of 1.5418 Å.
No peak broadening, texture or thermal motion is included.

Most intense lines, 2θ from 15° to 90°, by intensity:
2θ = 31.96°, rel. 100; 2θ = 33.25°, rel. 76; 2θ = 29.99°, rel. 59; 2θ = 37.53°, rel. 57; 2θ = 34.60°, rel. 44; 2θ = 38.88°, rel. 34; 2θ = 54.81°, rel. 33; 2θ = 29.77°, rel. 30; 2θ = 44.30°, rel. 29; 2θ = 30.73°, rel. 25; 2θ = 44.52°, rel. 21; 2θ = 35.39°, rel. 17

Atomic structure:
Cell lengths 5.6748, 7.3209, 8.4847 Å; angles 107.63, 96.84, 104.16 degrees
Fractional coordinates of all 12 atoms:
1 Cd 0.0000 0.0000 0.0000
2 Cd 0.1027 0.1790 0.3813
3 Cd 0.2603 0.4759 0.1972
4 Cd 0.7397 0.5241 0.8028
5 Cd 0.8973 0.8210 0.6187
6 Hg 0.3225 0.6440 0.6135
7 Hg 0.3978 0.8049 0.0377
8 Hg 0.5000 0.0000 0.5000
9 Hg 0.6022 0.1951 0.9623
10 Hg 0.6775 0.3560 0.3865
11 Bi 0.1406 0.2893 0.7738
12 Bi 0.8594 0.7107 0.2262